For Sm2AlSnGe, a cell relaxed with PBE gives the simulated X-ray powder pattern in this record (a wavelength of 1.5418 Å).
Kinematic intensities with the Lorentz-polarization factor, no thermal factor.

Most intense lines, 10° ≤ 2θ ≤ 90°, low angle first:
(2 0 0), 27.77°, 3.213 Å, I 40; (1 1 -2), 31.73°, 2.820 Å, I 100; (1 1 2), 32.12°, 2.787 Å, I 87; (2 1 1), 36.36°, 2.471 Å, I 29; (0 0 4), 40.41°, 2.232 Å, I 24; (0 2 0), 41.52°, 2.175 Å, I 34

Structure:
Unit cell a=6.4269 b=4.3497 c=8.9303 alpha=90.00 beta=91.22 gamma=90.00
Element x y z (fractional)
Sm 0.2322 0.2500 0.4654
Sm 0.2481 0.2500 0.0293
Sm 0.7519 0.7500 0.9707
Sm 0.7678 0.7500 0.5346
Al 0.4504 0.7500 0.2524
Al 0.5496 0.2500 0.7476
Sn 0.2757 0.7500 0.7433
Sn 0.7243 0.2500 0.2567
Ge 0.0614 0.7500 0.2435
Ge 0.9386 0.2500 0.7565

For SmYAlGe, a cell relaxed with PBE gives the simulated X-ray powder pattern in this record (a wavelength of 1.5418 Å).
Kinematic intensities with the Lorentz-polarization factor, no thermal factor.

Most intense lines, 10° ≤ 2θ ≤ 90°, low angle first:
(1 0 2), 27.29°, 3.267 Å, I 28; (1 1 1), 30.97°, 2.887 Å, I 100; (0 1 3), 31.67°, 2.826 Å, I 40; (0 0 4), 32.52°, 2.753 Å, I 24; (1 1 3), 38.83°, 2.319 Å, I 43; (0 2 0), 40.77°, 2.213 Å, I 23

Structure:
Unit cell a=4.0595 b=4.4264 c=11.0120 alpha=90.00 beta=90.00 gamma=90.00
Element x y z (fractional)
Sm 0.0000 0.0000 0.0000
Sm 0.0000 0.5000 0.5000
Y 0.5000 0.0000 0.2815
Y 0.5000 0.5000 0.7815
Al 0.0000 0.0000 0.7157
Al 0.0000 0.5000 0.2157
Ge 0.5000 0.0000 0.5647
Ge 0.5000 0.5000 0.0647

For AlSnGe, a cell relaxed with PBE gives the simulated X-ray powder pattern in this record (a wavelength of 1.5418 Å).
Kinematic intensities with the Lorentz-polarization factor, no thermal factor.

Most intense lines, 10° ≤ 2θ ≤ 90°, low angle first:
(1 0 0), 25.25°, 3.527 Å, I 19; (1 0 1), 31.62°, 2.830 Å, I 100; (1 1 0), 44.49°, 2.036 Å, I 33; (0 1 2), 46.15°, 1.967 Å, I 28; (0 2 1), 55.60°, 1.653 Å, I 20; (2 1 1), 73.84°, 1.283 Å, I 18

Structure:
Unit cell a=4.0729 b=4.0729 c=4.7396 alpha=90.00 beta=90.00 gamma=120.00
Element x y z (fractional)
Al 0.0000 0.0000 0.0000
Sn 0.6667 0.3333 0.4046
Ge 0.3333 0.6667 0.7660